NdThCoHg: calculated powder diffractogram (Cu Ka), based on a GGA-PBE-relaxed structure.
Peak positions follow from Bragg's law for the DFT cell and can differ from measured ones.

Peak list (10 most intense, 10 to 80 degrees two-theta, sorted by position)
- hkl 1 1 0, 26.16°, I = 18
- hkl 1 1 -1, 26.97°, I = 32
- hkl 1 1 1, 30.02°, I = 55
- hkl 2 0 1, 32.13°, I = 100
- hkl 0 0 3, 34.03°, I = 20
- hkl 1 1 2, 37.24°, I = 24
- hkl 0 2 0, 45.65°, I = 49
- hkl 1 1 3, 46.51°, I = 16
- hkl 2 2 1, 56.92°, I = 20
- hkl 3 1 2, 58.15°, I = 27

a = 6.8924 Å, b = 3.9700 Å, c = 8.2297 Å
α = 90.00°, β = 106.20°, γ = 90.00°
Space group Cm (No. 8)
Inequivalent atoms, fractional coordinates:
Nd (0.0000, 0.0000, 0.0000) (multiplicity 2)
Th (0.2054, 0.0000, 0.6162) (multiplicity 2)
Co (0.0961, 0.5000, 0.7882) (multiplicity 2)
Hg (0.2695, 0.5000, 0.3078) (multiplicity 2)